# CdCu2SnTeSe3
Simulated powder diffractogram, Cu Kα X-rays. Input: a cell relaxed with PBE.
Intensities are scaled so that the largest is 100.

```
8
Lattice="4.237 -4.234 0.000 4.237 4.234 0.000 -4.186 0.000 5.902" Properties=species:S:1:pos:R:3 pbc="T T T"
Cd 0.000 0.000 0.000
Cu 2.065 2.023 3.060
Cu 2.065 -2.023 3.060
Sn 4.069 0.000 0.011
Te 6.262 0.000 1.748
Se -0.047 2.068 4.294
Se 2.077 0.000 1.708
Se -0.047 -2.068 4.294
```

The 10 most intense peaks (5° ≤ 2θ ≤ 70°), by angle:
25.78°, rel. 36; 25.93°, rel. 100; 42.70°, rel. 35; 42.89°, rel. 32; 43.17°, rel. 31; 50.52°, rel. 21; 50.70°, rel. 21; 51.20°, rel. 10; 61.97°, rel. 11; 68.38°, rel. 6

***

# NdTmCF2
Simulated powder diffractogram, Cu Kα X-rays. Input: a cell relaxed with PBE.
Intensities are scaled so that the largest is 100.

```
5
Lattice="3.689 0.000 0.000 -1.845 3.195 0.000 0.000 0.000 6.402" Properties=species:S:1:pos:R:3 pbc="T T T"
Nd 0.000 0.000 0.000
Tm 0.000 2.130 3.658
C 1.845 1.065 5.005
F 0.000 0.000 2.715
F 0.000 2.130 1.287
```

The 10 most intense peaks (5° ≤ 2θ ≤ 70°), by angle:
13.83°, rel. 7; 27.90°, rel. 58; 31.29°, rel. 100; 39.87°, rel. 39; 49.41°, rel. 31; 51.50°, rel. 29; 57.67°, rel. 23; 59.65°, rel. 17; 65.23°, rel. 19; 67.07°, rel. 6